For Sm2CuPd9, a structure optimized by DFT (GGA-PBE) gives the calculated PXRD pattern in this record (a wavelength of 1.5418 Å).
Lines closer than 0.1° are merged.

Cell and atoms:
Unit cell a=4.1483 b=4.1483 c=11.9338 alpha=90.00 beta=90.00 gamma=90.00
Space group P4/mmm (No. 123)
Unique sites:
Sm: 0.0000 0.0000 0.1772 x2
Cu: 0.0000 0.0000 0.5000 x1
Pd: 0.0000 0.5000 0.0000 x2
Pd: 0.0000 0.5000 0.3512 x4
Pd: 0.5000 0.5000 0.1748 x2
Pd: 0.5000 0.5000 0.5000 x1

Principal peaks in the range 2θ from 5° to 70°, in order of rising 2θ:
2θ = 26.16°, rel. 14
2θ = 34.06°, rel. 39
2θ = 37.69°, rel. 28
2θ = 38.12°, rel. 1000
2θ = 43.25°, rel. 12
2θ = 43.64°, rel. 357
2θ = 45.61°, rel. 128
2θ = 59.00°, rel. 31
2θ = 63.43°, rel. 119
2θ = 64.96°, rel. 175

For SmCu4Pd4, a structure optimized by DFT (GGA-PBE) gives the calculated PXRD pattern in this record (a wavelength of 1.5418 Å).
Lines closer than 0.1° are merged.

Cell and atoms:
Unit cell a=7.9363 b=7.9363 c=4.6174 alpha=90.00 beta=90.00 gamma=90.00
Space group I4/m (No. 87)
Unique sites:
Sm: 0.0000 0.0000 0.0000 x2
Cu: 0.1237 0.2185 0.5000 x8
Pd: 0.0657 0.3494 0.0000 x8

Principal peaks in the range 2θ from 5° to 70°, in order of rising 2θ:
2θ = 22.27°, rel. 109
2θ = 31.80°, rel. 217
2θ = 35.78°, rel. 546
2θ = 39.01°, rel. 522
2θ = 39.25°, rel. 1000
2θ = 45.66°, rel. 681
2θ = 48.68°, rel. 113
2θ = 51.49°, rel. 95
2θ = 53.97°, rel. 326
2θ = 64.07°, rel. 97

For SmCuPd, a structure optimized by DFT (GGA-PBE) gives the calculated PXRD pattern in this record (a wavelength of 1.5418 Å).
Lines closer than 0.1° are merged.

Cell and atoms:
Unit cell a=4.3758 b=5.6241 c=5.7113 alpha=76.68 beta=67.50 gamma=67.14
Space group P-1 (No. 2)
Unique sites:
Sm: 0.0425 0.2086 0.2059 x2
Cu: 0.3463 0.2045 0.6036 x2
Pd: 0.3276 0.6228 0.2208 x2

Principal peaks in the range 2θ from 5° to 70°, in order of rising 2θ:
2θ = 33.27°, rel. 563
2θ = 34.14°, rel. 458
2θ = 34.56°, rel. 771
2θ = 34.84°, rel. 903
2θ = 34.89°, rel. 563
2θ = 40.41°, rel. 181
2θ = 40.59°, rel. 1000
2θ = 41.26°, rel. 657
2θ = 54.58°, rel. 325
2θ = 65.56°, rel. 197

For CuSnPd, a structure optimized by DFT (GGA-PBE) gives the calculated PXRD pattern in this record (a wavelength of 1.5418 Å).
Lines closer than 0.1° are merged.

Cell and atoms:
Unit cell a=7.5455 b=7.0772 c=4.9254 alpha=90.00 beta=129.67 gamma=90.00
Space group Cc (No. 9)
Unique sites:
Cu: 0.0000 0.0011 0.0000 x4
Sn: 0.3992 0.1534 0.6525 x4
Pd: 0.1556 0.3186 0.9061 x4

Principal peaks in the range 2θ from 5° to 70°, in order of rising 2θ:
2θ = 34.68°, rel. 642
2θ = 34.99°, rel. 664
2θ = 36.49°, rel. 362
2θ = 37.87°, rel. 1000
2θ = 38.45°, rel. 949
2θ = 41.31°, rel. 987
2θ = 41.58°, rel. 449
2θ = 42.11°, rel. 417
2θ = 44.84°, rel. 516
2θ = 64.90°, rel. 275

For Cu5SnPd8, a structure optimized by DFT (GGA-PBE) gives the calculated PXRD pattern in this record (a wavelength of 1.5418 Å).
Lines closer than 0.1° are merged.

Cell and atoms:
Unit cell a=7.4804 b=7.4804 c=7.7105 alpha=90.00 beta=90.00 gamma=90.00
Space group I-4 (No. 82)
Unique sites:
Cu: 0.0000 0.0000 0.0000 x2
Cu: 0.1216 0.2122 0.5862 x8
Sn: 0.0000 0.5000 0.2500 x2
Pd: 0.0683 0.3314 0.9125 x8
Pd: 0.0971 0.1696 0.2597 x8

Principal peaks in the range 2θ from 5° to 70°, in order of rising 2θ:
2θ = 29.10°, rel. 425
2θ = 36.98°, rel. 960
2θ = 37.92°, rel. 977
2θ = 38.04°, rel. 888
2θ = 41.40°, rel. 218
2θ = 44.45°, rel. 1000
2θ = 44.96°, rel. 856
2θ = 45.26°, rel. 817
2θ = 60.32°, rel. 224
2θ = 62.12°, rel. 206

For Cu2SnPd3, a structure optimized by DFT (GGA-PBE) gives the calculated PXRD pattern in this record (a wavelength of 1.5418 Å).
Lines closer than 0.1° are merged.

Cell and atoms:
Unit cell a=4.5619 b=13.7284 c=5.8318 alpha=90.00 beta=90.00 gamma=90.00
Space group Cmmm (No. 65)
Unique sites:
Cu: 0.0000 0.0000 0.0000 x2
Cu: 0.0000 0.0000 0.5000 x2
Cu: 0.0000 0.3320 0.0000 x4
Sn: 0.0000 0.3398 0.5000 x4
Pd: 0.0000 0.1654 0.2446 x8
Pd: 0.0000 0.5000 0.2389 x4

Principal peaks in the range 2θ from 5° to 70°, in order of rising 2θ:
2θ = 15.19°, rel. 11
2θ = 27.61°, rel. 20
2θ = 30.22°, rel. 8
2θ = 31.66°, rel. 27
2θ = 39.38°, rel. 293
2θ = 39.51°, rel. 295
2θ = 41.73°, rel. 1000
2θ = 57.01°, rel. 195
2θ = 62.76°, rel. 9
2θ = 63.84°, rel. 68

For Cu4SnPd15, a structure optimized by DFT (GGA-PBE) gives the calculated PXRD pattern in this record (a wavelength of 1.5418 Å).
Lines closer than 0.1° are merged.

Cell and atoms:
Unit cell a=3.9297 b=3.9297 c=19.4947 alpha=90.00 beta=90.00 gamma=90.00
Space group P4/mmm (No. 123)
Unique sites:
Cu: 0.0000 0.0000 0.0988 x2
Cu: 0.0000 0.0000 0.2951 x2
Sn: 0.0000 0.0000 0.5000 x1
Pd: 0.0000 0.5000 0.0000 x2
Pd: 0.0000 0.5000 0.1965 x4
Pd: 0.0000 0.5000 0.3939 x4
Pd: 0.5000 0.5000 0.0979 x2
Pd: 0.5000 0.5000 0.2947 x2
Pd: 0.5000 0.5000 0.5000 x1

Principal peaks in the range 2θ from 5° to 70°, in order of rising 2θ:
2θ = 22.63°, rel. 12
2θ = 32.20°, rel. 6
2θ = 32.35°, rel. 9
2θ = 37.25°, rel. 9
2θ = 39.84°, rel. 1000
2θ = 46.20°, rel. 330
2θ = 46.59°, rel. 151
2θ = 63.97°, rel. 6
2θ = 67.40°, rel. 103
2θ = 67.71°, rel. 192

For Cu2SnPd2, a structure optimized by DFT (GGA-PBE) gives the calculated PXRD pattern in this record (a wavelength of 1.5418 Å).
Lines closer than 0.1° are merged.

Cell and atoms:
Unit cell a=4.4817 b=5.6493 c=12.3922 alpha=90.00 beta=90.00 gamma=90.00
Space group Imma (No. 74)
Unique sites:
Cu: 0.0000 0.2500 0.0055 x4
Cu: 0.0000 0.2500 0.3767 x4
Sn: 0.0000 0.2500 0.6143 x4
Pd: 0.0000 0.0035 0.1812 x8

Principal peaks in the range 2θ from 5° to 70°, in order of rising 2θ:
2θ = 14.29°, rel. 79
2θ = 28.82°, rel. 110
2θ = 34.91°, rel. 301
2θ = 38.36°, rel. 237
2θ = 40.25°, rel. 445
2θ = 41.64°, rel. 595
2θ = 43.77°, rel. 1000
2θ = 54.31°, rel. 177
2θ = 66.17°, rel. 99
2θ = 69.17°, rel. 151

For SrCuSnPd3, a structure optimized by DFT (GGA-PBE) gives the calculated PXRD pattern in this record (a wavelength of 1.5418 Å).
Lines closer than 0.1° are merged.

Cell and atoms:
Unit cell a=5.9052 b=11.9409 c=7.2069 alpha=90.00 beta=90.00 gamma=90.00
Space group Cmcm (No. 63)
Unique sites:
Sr: 0.0000 0.1868 0.2500 x4
Cu: 0.0000 0.4284 0.2500 x4
Sn: 0.0000 0.1245 0.7500 x4
Pd: 0.0000 0.3483 0.7500 x4
Pd: 0.2435 0.0000 0.0000 x8

Principal peaks in the range 2θ from 5° to 70°, in order of rising 2θ:
2θ = 14.84°, rel. 426
2θ = 28.94°, rel. 466
2θ = 32.46°, rel. 238
2θ = 33.87°, rel. 304
2θ = 39.19°, rel. 544
2θ = 39.46°, rel. 1000
2θ = 42.72°, rel. 196
2θ = 43.09°, rel. 414
2θ = 50.67°, rel. 241
2θ = 68.65°, rel. 221

For Sr3CuPd, a structure optimized by DFT (GGA-PBE) gives the calculated PXRD pattern in this record (a wavelength of 1.5418 Å).
Lines closer than 0.1° are merged.

Cell and atoms:
Unit cell a=7.3283 b=4.2396 c=10.9730 alpha=90.00 beta=101.03 gamma=90.00
Space group P2_1/m (No. 11)
Unique sites:
Sr: 0.2304 0.2500 0.0662 x2
Sr: 0.2424 0.7500 0.7519 x2
Sr: 0.2599 0.2500 0.4334 x2
Cu: 0.4344 0.7500 0.2763 x2
Pd: 0.0694 0.7500 0.2232 x2

Principal peaks in the range 2θ from 5° to 70°, in order of rising 2θ:
2θ = 16.46°, rel. 347
2θ = 28.16°, rel. 1000
2θ = 29.87°, rel. 296
2θ = 30.89°, rel. 432
2θ = 32.49°, rel. 685
2θ = 32.69°, rel. 379
2θ = 34.92°, rel. 398
2θ = 39.61°, rel. 309
2θ = 41.07°, rel. 338
2θ = 42.65°, rel. 314

For Sr8CuPd2, a structure optimized by DFT (GGA-PBE) gives the calculated PXRD pattern in this record (a wavelength of 1.5418 Å).
Lines closer than 0.1° are merged.

Cell and atoms:
Unit cell a=6.5091 b=9.4805 c=9.4850 alpha=60.05 beta=89.99 gamma=90.00
Space group P-1 (No. 2)
Unique sites:
Sr: 0.2471 0.3333 0.3335 x2
Sr: 0.2515 0.3146 0.8435 x2
Sr: 0.2515 0.8421 0.3146 x2
Sr: 0.2514 0.8433 0.8421 x2
Cu: 0.5000 0.0000 0.0000 x1
Pd: 0.2538 0.6667 0.6665 x2

Principal peaks in the range 2θ from 5° to 70°, in order of rising 2θ:
2θ = 17.38°, rel. 476
2θ = 18.71°, rel. 517
2θ = 21.64°, rel. 643
2θ = 25.65°, rel. 1000
2θ = 27.40°, rel. 576
2θ = 31.94°, rel. 355
2θ = 35.18°, rel. 680
2θ = 37.94°, rel. 935
2θ = 40.14°, rel. 212
2θ = 47.43°, rel. 906

For TaCuPd, a structure optimized by DFT (GGA-PBE) gives the calculated PXRD pattern in this record (a wavelength of 1.5418 Å).
Lines closer than 0.1° are merged.

Cell and atoms:
Unit cell a=4.3753 b=4.3753 c=2.7216 alpha=90.00 beta=90.00 gamma=120.00
Space group P-6m2 (No. 187)
Unique sites:
Ta: 0.0000 0.0000 0.0000 x1
Cu: 0.3333 0.6667 0.5000 x1
Pd: 0.6667 0.3333 0.5000 x1

Principal peaks in the range 2θ from 5° to 70°, in order of rising 2θ:
2θ = 23.48°, rel. 260
2θ = 40.82°, rel. 1000
2θ = 41.27°, rel. 846
2θ = 48.02°, rel. 41
2θ = 59.44°, rel. 330
2θ = 65.13°, rel. 35
2θ = 69.02°, rel. 60